Computed powder diffractogram
Compound: Ce3Tm
Radiation: Cu Kα (λ = 1.5418 Å)
Structure: DFT lattice parameters and positions (GGA-PBE)
No peak broadening, texture or thermal motion is included.

```
data_Ce3Tm
_chemical_formula_sum 'Ce6 Tm2'
_space_group_name_H-M_alt 'P 63/m m c'
_space_group_IT_number 194
_space_group_name_Hall '-P 6c 2c'
_cell_length_a 6.9682
_cell_length_b 6.9682
_cell_length_c 5.7069
_cell_angle_alpha 90.00
_cell_angle_beta 90.00
_cell_angle_gamma 120.00
loop_
_atom_site_label
_atom_site_fract_x
_atom_site_fract_y
_atom_site_fract_z
Ce1 0.1670 0.3341 0.2500
Tm1 0.3333 0.6667 0.7500
```

Peak list (11 most intense, 5° ≤ 2θ ≤ 70°, by angle)
h k l  d (Å)  I (rel.)
1 0 1  4.146  7
2 0 0  3.017  233
0 0 2  2.853  267
2 0 1  2.667  1000
2 0 2  2.073  161
2 2 0  1.742  188
2 0 3  1.609  217
4 0 0  1.509  29
2 2 2  1.487  222
4 0 1  1.459  156
0 0 4  1.427  32



Computed powder diffractogram
Compound: CeY
Radiation: Cu Kα (λ = 1.5418 Å)
Structure: DFT lattice parameters and positions (GGA-PBE)
No peak broadening, texture or thermal motion is included.

```
data_CeY
_chemical_formula_sum 'Ce1 Y1'
_space_group_name_H-M_alt 'P -6 m 2'
_space_group_IT_number 187
_space_group_name_Hall 'P -6 2'
_cell_length_a 3.5181
_cell_length_b 3.5181
_cell_length_c 5.7815
_cell_angle_alpha 90.00
_cell_angle_beta 90.00
_cell_angle_gamma 120.00
loop_
_atom_site_label
_atom_site_fract_x
_atom_site_fract_y
_atom_site_fract_z
Ce1 0.0000 0.0000 0.0000
Y1 0.3333 0.6667 0.5000
```

Peak list (12 most intense, 5° ≤ 2θ ≤ 70°, by angle)
h k l  d (Å)  I (rel.)
0 0 1  5.782  59
1 0 0  3.047  259
0 0 2  2.891  266
1 0 1  2.695  1000
1 0 2  2.097  180
1 1 0  1.759  182
1 0 3  1.629  215
2 0 0  1.523  32
1 1 2  1.503  215
2 0 1  1.473  153
0 0 4  1.445  31
2 0 2  1.348  43



- Which formula does entry 1 have?
  Ce3Tm